# YbFe2
Theoretical PXRD pattern, Cu Kα, 1.54184 Å. Input: a structure optimized by DFT (GGA-PBE).
Lines closer than 0.1° are merged.

The 6 most intense peaks (2θ from 10° to 80°), in order of rising 2θ:
- 21.35 deg, I 205
- 35.21 deg, I 715
- 41.55 deg, I 1000
- 63.19 deg, I 265
- 67.52 deg, I 306
- 74.45 deg, I 218

Crystal structure
```
YbFe2
1.0
0.000 3.604 3.604
3.604 0.000 3.604
3.604 3.604 0.000
Yb Fe
2 4
direct
0.125 0.125 0.125
0.875 0.875 0.875
0.000 0.500 0.500
0.500 0.000 0.500
0.500 0.500 0.000
0.500 0.500 0.500
```

---

# Pr3OsCl2O6
Theoretical PXRD pattern, Cu Kα, 1.54184 Å. Input: a structure optimized by DFT (GGA-PBE).
Lines closer than 0.1° are merged.

The 6 most intense peaks (2θ from 10° to 80°), in order of rising 2θ:
- 15.82 deg, I 543
- 21.15 deg, I 586
- 22.76 deg, I 688
- 30.53 deg, I 1000
- 43.07 deg, I 405
- 54.29 deg, I 348

Crystal structure
```
Pr3OsCl2O6
1.0
5.923 -3.376 0.000
5.923 3.376 0.000
-0.818 0.000 5.601
Pr Os Cl O
3 1 2 6
direct
0.000 0.000 0.000
0.000 0.500 0.500
0.500 0.000 0.500
0.500 0.500 0.500
0.216 0.216 0.874
0.784 0.784 0.126
0.214 0.675 0.698
0.325 0.786 0.302
0.343 0.343 0.328
0.657 0.657 0.672
0.675 0.214 0.698
0.786 0.325 0.302
```

---

Repeat the second record exactly.
# Pr3OsCl2O6
Theoretical PXRD pattern, Cu Kα, 1.54184 Å. Input: a structure optimized by DFT (GGA-PBE).
Lines closer than 0.1° are merged.

The 6 most intense peaks (2θ from 10° to 80°), in order of rising 2θ:
- 15.82 deg, I 543
- 21.15 deg, I 586
- 22.76 deg, I 688
- 30.53 deg, I 1000
- 43.07 deg, I 405
- 54.29 deg, I 348

Crystal structure
```
Pr3OsCl2O6
1.0
5.923 -3.376 0.000
5.923 3.376 0.000
-0.818 0.000 5.601
Pr Os Cl O
3 1 2 6
direct
0.000 0.000 0.000
0.000 0.500 0.500
0.500 0.000 0.500
0.500 0.500 0.500
0.216 0.216 0.874
0.784 0.784 0.126
0.214 0.675 0.698
0.325 0.786 0.302
0.343 0.343 0.328
0.657 0.657 0.672
0.675 0.214 0.698
0.786 0.325 0.302
```

---

- Number 1 is which compound?
  YbFe2